(1)
Simulated powder diffraction line list
Compound: RbC2O4
Radiation: a wavelength of 1.5418 Å
Structure: a DFT-relaxed cell (GGA-PBE, Alexandria)

Cell and atoms:
```
data_RbC2O4
_chemical_formula_sum 'Rb1 C2 O4'
_cell_length_a 3.5168
_cell_length_b 5.6036
_cell_length_c 5.6174
_cell_angle_alpha 81.55
_cell_angle_beta 79.01
_cell_angle_gamma 78.99
_symmetry_space_group_name_H-M 'P -1'
_symmetry_Int_Tables_number 2
loop_
_symmetry_equiv_pos_as_xyz
'x,y,z'
'-x,-y,-z'
loop_
_atom_site_label
_atom_site_type_symbol
_atom_site_fract_x
_atom_site_fract_y
_atom_site_fract_z
_atom_site_occupancy
Rb1 Rb 0.0000 0.0000 0.0000 1
C1 C 0.3417 0.4181 0.4169 1
O1 O 0.3214 0.2768 0.2734 1
O2 O 0.4993 0.6413 0.3610 1
```

Peak list (8 most intense, 2θ = 5–70°, in order of rising 2θ)
index, 2θ (°), I_rel
0 0 1, 16.2, 27
0 1 1, 21.6, 60
0 1 -1, 24.3, 87
1 1 0, 28.5, 39
1 1 1, 29.6, 20
1 0 -1, 33.3, 100
0 2 1, 34.9, 22
1 2 0, 38.6, 71

=====

(2)
Simulated powder diffraction line list
Compound: Cs4Np3PaO12
Radiation: a wavelength of 1.5418 Å
Structure: a DFT-relaxed cell (GGA-PBE, Alexandria)

Cell and atoms:
```
data_Cs4Np3PaO12
_chemical_formula_sum 'Cs8 Np6 Pa2 O24'
_cell_length_a 8.8093
_cell_length_b 8.8093
_cell_length_c 8.8093
_cell_angle_alpha 90.00
_cell_angle_beta 90.00
_cell_angle_gamma 90.00
_symmetry_space_group_name_H-M 'I m -3 m'
_symmetry_Int_Tables_number 229
_symmetry_space_group_name_Hall '-I 4 2 3'
loop_
_atom_site_label
_atom_site_type_symbol
_atom_site_fract_x
_atom_site_fract_y
_atom_site_fract_z
_atom_site_occupancy
Cs1 Cs 0.2500 0.2500 0.2500 1
Np1 Np 0.0000 0.0000 0.5000 1
Pa1 Pa 0.0000 0.0000 0.0000 1
O1 O 0.0000 0.0000 0.2521 1
O2 O 0.0000 0.2500 0.5000 1
```

Peak list (8 most intense, 2θ = 5–70°, in order of rising 2θ)
index, 2θ (°), I_rel
2 0 0, 20.2, 13
2 2 0, 28.7, 100
4 0 0, 41.0, 27
4 2 0, 46.1, 7
4 2 2, 50.8, 43
4 4 0, 59.3, 18
6 0 0, 63.3, 3
6 2 0, 67.2, 19

=====

(3)
Simulated powder diffraction line list
Compound: Ge2TeMoPd
Radiation: a wavelength of 1.5418 Å
Structure: a DFT-relaxed cell (GGA-PBE, Alexandria)

Cell and atoms:
```
data_Ge2TeMoPd
_chemical_formula_sum 'Ge2 Te1 Mo1 Pd1'
_cell_length_a 4.7148
_cell_length_b 4.7148
_cell_length_c 5.5960
_cell_angle_alpha 90.00
_cell_angle_beta 90.00
_cell_angle_gamma 90.00
_symmetry_space_group_name_H-M 'P 4/m m m'
_symmetry_Int_Tables_number 123
_symmetry_space_group_name_Hall '-P 4 2'
loop_
_atom_site_label
_atom_site_type_symbol
_atom_site_fract_x
_atom_site_fract_y
_atom_site_fract_z
_atom_site_occupancy
Ge1 Ge 0.0000 0.5000 0.0000 1
Te1 Te 0.0000 0.0000 0.5000 1
Mo1 Mo 0.5000 0.5000 0.5000 1
Pd1 Pd 0.0000 0.0000 0.0000 1
```

Peak list (8 most intense, 2θ = 5–70°, in order of rising 2θ)
index, 2θ (°), I_rel
1 0 0, 18.8, 45
1 1 0, 26.7, 35
1 1 1, 31.2, 100
0 0 2, 32.0, 78
2 0 0, 38.2, 96
2 0 2, 50.6, 84
2 2 0, 55.1, 32
2 2 2, 65.1, 39

=====

(4)
Simulated powder diffraction line list
Compound: RbNaSb
Radiation: a wavelength of 1.5418 Å
Structure: a DFT-relaxed cell (GGA-PBE, Alexandria)

Cell and atoms:
```
data_RbNaSb
_chemical_formula_sum 'Rb4 Na4 Sb4'
_cell_length_a 4.9901
_cell_length_b 7.2146
_cell_length_c 14.4959
_cell_angle_alpha 90.00
_cell_angle_beta 90.00
_cell_angle_gamma 90.00
_symmetry_space_group_name_H-M 'I m m m'
_symmetry_Int_Tables_number 71
_symmetry_space_group_name_Hall '-I 2 2'
loop_
_atom_site_label
_atom_site_type_symbol
_atom_site_fract_x
_atom_site_fract_y
_atom_site_fract_z
_atom_site_occupancy
Rb1 Rb 0.0000 0.0000 0.2084 1
Na1 Na 0.0000 0.2067 0.5000 1
Sb1 Sb 0.0000 0.5000 0.1022 1
```

Peak list (8 most intense, 2θ = 5–70°, in order of rising 2θ)
index, 2θ (°), I_rel
0 1 1, 13.7, 100
1 0 1, 18.8, 66
0 2 0, 24.7, 67
1 1 2, 24.9, 79
1 0 3, 25.7, 57
1 2 1, 31.2, 83
1 1 4, 33.0, 84
0 1 5, 33.3, 69

=====

(5)
Simulated powder diffraction line list
Compound: CaTeI
Radiation: a wavelength of 1.5418 Å
Structure: a DFT-relaxed cell (GGA-PBE, Alexandria)

Cell and atoms:
```
data_CaTeI
_chemical_formula_sum 'Ca1 Te1 I1'
_cell_length_a 4.7181
_cell_length_b 4.7181
_cell_length_c 6.6830
_cell_angle_alpha 90.00
_cell_angle_beta 90.00
_cell_angle_gamma 120.00
_symmetry_space_group_name_H-M 'P 3 m 1'
_symmetry_Int_Tables_number 156
loop_
_symmetry_equiv_pos_as_xyz
'x,y,z'
'-y,x-y,z'
'-x+y,-x,z'
'-y,-x,z'
'-x+y,y,z'
'x,x-y,z'
loop_
_atom_site_label
_atom_site_type_symbol
_atom_site_fract_x
_atom_site_fract_y
_atom_site_fract_z
_atom_site_occupancy
Ca1 Ca 0.0000 0.0000 0.0000 1
Te1 Te 0.6667 0.3333 0.2181 1
I1 I 0.6667 0.3333 0.7085 1
```

Peak list (8 most intense, 2θ = 5–70°, in order of rising 2θ)
index, 2θ (°), I_rel
1 0 0, 21.8, 100
1 0 2, 34.7, 83
1 1 0, 38.1, 37
1 1 2, 47.2, 21
0 2 2, 52.5, 25
0 1 4, 59.8, 25
2 1 2, 66.7, 24
3 0 0, 68.9, 17

=====

(6)
Simulated powder diffraction line list
Compound: MgZrHg4
Radiation: a wavelength of 1.5418 Å
Structure: a DFT-relaxed cell (GGA-PBE, Alexandria)

Cell and atoms:
```
data_MgZrHg4
_chemical_formula_sum 'Mg2 Zr2 Hg8'
_cell_length_a 4.6149
_cell_length_b 4.6472
_cell_length_c 12.3621
_cell_angle_alpha 90.00
_cell_angle_beta 90.22
_cell_angle_gamma 90.00
_symmetry_space_group_name_H-M 'C 1 2/m 1'
_symmetry_Int_Tables_number 12
loop_
_symmetry_equiv_pos_as_xyz
'x,y,z'
'-x,-y,-z'
'-x,y,-z'
'x,-y,z'
'x+1/2,y+1/2,z'
'-x+1/2,-y+1/2,-z'
'-x+1/2,y+1/2,-z'
'x+1/2,-y+1/2,z'
loop_
_atom_site_label
_atom_site_type_symbol
_atom_site_fract_x
_atom_site_fract_y
_atom_site_fract_z
_atom_site_occupancy
Mg1 Mg 0.0000 0.0000 0.0000 1
Zr1 Zr 0.0000 0.5000 0.5000 1
Hg1 Hg 0.0003 0.5000 0.1568 1
Hg2 Hg 0.0011 0.0000 0.6620 1
```

Peak list (8 most intense, 2θ = 5–70°, in order of rising 2θ)
index, 2θ (°), I_rel
1 1 -1, 28.2, 20
1 1 3, 35.0, 100
0 2 0, 38.8, 19
2 0 0, 39.0, 19
0 0 6, 43.9, 13
2 2 0, 56.2, 13
0 2 6, 60.0, 15
1 3 3, 67.7, 15

=====

(7)
Simulated powder diffraction line list
Compound: TmHg4Pd7
Radiation: a wavelength of 1.5418 Å
Structure: a DFT-relaxed cell (GGA-PBE, Alexandria)

Cell and atoms:
```
data_TmHg4Pd7
_chemical_formula_sum 'Tm2 Hg8 Pd14'
_cell_length_a 10.7941
_cell_length_b 5.0265
_cell_length_c 9.9879
_cell_angle_alpha 90.00
_cell_angle_beta 120.36
_cell_angle_gamma 90.00
_symmetry_space_group_name_H-M 'C 1 2/m 1'
_symmetry_Int_Tables_number 12
loop_
_symmetry_equiv_pos_as_xyz
'x,y,z'
'-x,-y,-z'
'-x,y,-z'
'x,-y,z'
'x+1/2,y+1/2,z'
'-x+1/2,-y+1/2,-z'
'-x+1/2,y+1/2,-z'
'x+1/2,-y+1/2,z'
loop_
_atom_site_label
_atom_site_type_symbol
_atom_site_fract_x
_atom_site_fract_y
_atom_site_fract_z
_atom_site_occupancy
Tm1 Tm 0.0000 0.0000 0.0000 1
Hg1 Hg 0.0854 0.5000 0.7707 1
Hg2 Hg 0.2490 0.5000 0.3309 1
Pd1 Pd 0.0000 0.5000 0.0000 1
Pd2 Pd 0.0596 0.0000 0.3373 1
Pd3 Pd 0.1437 0.5000 0.5310 1
Pd4 Pd 0.2126 0.0000 0.9204 1
```

Peak list (8 most intense, 2θ = 5–70°, in order of rising 2θ)
index, 2θ (°), I_rel
3 1 -1, 30.8, 49
4 0 -3, 35.3, 78
0 2 0, 35.7, 100
2 0 -4, 36.0, 29
3 1 1, 39.8, 87
1 1 3, 41.4, 28
1 1 -4, 42.0, 63
4 2 -3, 51.1, 55